[1]
Theoretical XRD peak list
Compound: Li7Mn2Co3O12
Radiation: Cu Kα (weighted mean of Kα1 and Kα2)
Structure: a crystal structure in the Materials Project, relaxed with GGA+U
Peak positions follow from Bragg's law for the DFT cell and can differ from measured ones.

Most intense lines, 2θ = 10–90°, most intense first:
index  2θ/deg  d_spacing  I (rel.)
1 0 1  18.23  4.867  100
2 1 -1  43.49  2.081  58
1 1 -2  36.08  2.489  27
0 0 6  43.65  2.074  26
2 1 5  63.01  1.475  15
2 1 -7  63.62  1.463  14
1 0 -5  35.98  2.496  13
3 1 0  57.15  1.612  10
1 0 0  15.29  5.794  10
1 1 4  47.75  1.905  8

Structure:
```
data_Li7Mn2Co3O12
_chemical_formula_sum 'Li7 Mn2 Co3 O12'
_space_group_name_H-M_alt 'P 1 m 1'
_space_group_IT_number 6
_cell_length_a 5.957
_cell_length_b 2.909
_cell_length_c 12.760
_cell_angle_alpha 90.00
_cell_angle_beta 102.79
_cell_angle_gamma 90.00
loop_
_space_group_symop_operation_xyz
'x,y,z'
'x,-y,z'
loop_
_atom_site_label
_atom_site_type_symbol
_atom_site_fract_x
_atom_site_fract_y
_atom_site_fract_z
Li1 Li 0.000 0.000 0.000
Li2 Li 0.006 0.500 0.501
Li3 Li 0.165 0.000 0.332
Li4 Li 0.326 0.500 0.154
Li5 Li 0.513 0.000 0.001
Li6 Li 0.689 0.500 0.848
Li7 Li 0.844 0.000 0.673
Mn1 Mn 0.339 0.000 0.670
Mn2 Mn 0.839 0.500 0.161
Co1 Co 0.172 0.500 0.853
Co2 Co 0.508 0.500 0.497
Co3 Co 0.676 0.000 0.337
O1 O 0.059 0.000 0.169
O2 O 0.123 0.500 0.669
O3 O 0.259 0.500 0.995
O4 O 0.274 0.000 0.512
O5 O 0.404 0.000 0.823
O6 O 0.432 0.500 0.342
O7 O 0.560 0.500 0.665
O8 O 0.618 0.000 0.172
O9 O 0.744 0.000 0.504
O10 O 0.762 0.500 0.015
O11 O 0.907 0.500 0.328
O12 O 0.942 0.000 0.831
```

=====

[2]
Theoretical XRD peak list
Compound: Li7Mn2Co3O12
Radiation: Cu Kα (weighted mean of Kα1 and Kα2)
Structure: a crystal structure in the Materials Project, relaxed with GGA+U
Peak positions follow from Bragg's law for the DFT cell and can differ from measured ones.

Most intense lines, 2θ = 10–90°, most intense first:
index  2θ/deg  d_spacing  I (rel.)
0 0 2  18.30  4.848  100
3 1 2  43.74  2.070  56
6 0 -4  43.35  2.087  28
3 1 0  36.22  2.480  25
3 1 -6  63.09  1.474  15
6 0 -2  35.76  2.511  14
9 1 -2  63.46  1.466  14
3 1 4  57.51  1.603  9
3 1 -4  47.80  1.903  9
9 1 0  66.66  1.403  8

Structure:
```
data_Li7Mn2Co3O12
_chemical_formula_sum 'Li14 Mn4 Co6 O24'
_space_group_name_H-M_alt 'C 1 m 1'
_space_group_IT_number 8
_cell_length_a 15.302
_cell_length_b 2.893
_cell_length_c 10.274
_cell_angle_alpha 90.00
_cell_angle_beta 109.28
_cell_angle_gamma 90.00
loop_
_space_group_symop_operation_xyz
'x,y,z'
'x,-y,z'
'x+1/2,y+1/2,z'
'x+1/2,-y+1/2,z'
loop_
_atom_site_label
_atom_site_type_symbol
_atom_site_fract_x
_atom_site_fract_y
_atom_site_fract_z
Li1 Li 0.000 0.000 0.000
Li2 Li 0.000 0.500 0.239
Li3 Li 0.166 0.000 0.757
Li4 Li 0.167 0.000 0.246
Li5 Li 0.334 0.500 0.249
Li6 Li 0.342 0.500 0.764
Li7 Li 0.498 0.000 0.766
Mn1 Mn 0.167 0.500 0.501
Mn2 Mn 0.337 0.000 0.000
Co1 Co 0.158 0.500 0.010
Co2 Co 0.340 0.000 0.507
Co3 Co 0.498 0.500 0.501
O1 O 0.085 0.500 0.609
O2 O 0.092 0.500 0.124
O3 O 0.093 0.000 0.886
O4 O 0.096 0.000 0.389
O5 O 0.240 0.000 0.612
O6 O 0.249 0.000 0.111
O7 O 0.253 0.500 0.395
O8 O 0.259 0.500 0.894
O9 O 0.408 0.500 0.115
O10 O 0.410 0.000 0.887
O11 O 0.413 0.500 0.625
O12 O 0.418 0.000 0.385
```

=====

[3]
Theoretical XRD peak list
Compound: Li7Mn4CoO12
Radiation: Cu Kα (weighted mean of Kα1 and Kα2)
Structure: a crystal structure in the Materials Project, relaxed with GGA+U
Peak positions follow from Bragg's law for the DFT cell and can differ from measured ones.

Most intense lines, 2θ = 10–90°, most intense first:
index  2θ/deg  d_spacing  I (rel.)
0 2 2  18.30  4.849  100
-1 1 4  41.61  2.170  34
1 2 5  44.16  2.051  28
0 5 -1  44.33  2.043  27
1 0 3  36.35  2.471  23
1 1 -2  34.69  2.586  18
0 0 2  13.48  6.568  9
-1 6 3  62.54  1.485  8
0 3 9  61.92  1.499  8
1 4 -5  62.31  1.490  8

Structure:
```
data_Li7Mn4CoO12
_chemical_formula_sum 'Li14 Mn8 Co2 O24'
_space_group_name_H-M_alt 'P -1'
_space_group_IT_number 2
_cell_length_a 2.971
_cell_length_b 11.269
_cell_length_c 13.646
_cell_angle_alpha 74.32
_cell_angle_beta 87.06
_cell_angle_gamma 83.17
loop_
_space_group_symop_operation_xyz
'x,y,z'
'-x,-y,-z'
loop_
_atom_site_label
_atom_site_type_symbol
_atom_site_fract_x
_atom_site_fract_y
_atom_site_fract_z
Li1 Li 0.105 0.444 0.297
Li2 Li 0.135 0.127 0.627
Li3 Li 0.138 0.794 0.951
Li4 Li 0.251 0.750 0.750
Li5 Li 0.369 0.373 0.874
Li6 Li 0.369 0.707 0.549
Li7 Li 0.387 0.057 0.203
Mn1 Mn 0.000 0.163 0.835
Mn2 Mn 0.238 0.090 0.414
Mn3 Mn 0.260 0.410 0.087
Mn4 Mn 0.484 0.665 0.333
Co1 Co 0.000 0.500 0.500
Co2 Co 0.500 0.000 0.000
O1 O 0.089 0.655 0.225
O2 O 0.092 0.985 0.897
O3 O 0.110 0.323 0.563
O4 O 0.179 0.257 0.361
O5 O 0.208 0.595 0.011
O6 O 0.228 0.937 0.671
O7 O 0.273 0.563 0.829
O8 O 0.292 0.905 0.489
O9 O 0.317 0.243 0.140
O10 O 0.398 0.846 0.273
O11 O 0.404 0.174 0.939
O12 O 0.456 0.514 0.604
```